For Li5Fe6B6O18, a crystal structure in the Materials Project, relaxed with GGA+U gives the theoretical XRD peak list in this record (CuKα).

Largest 12 diffraction maxima, low angle first, 10° ≤ 2θ ≤ 90°:
21.54 deg, d = 4.125 Å, I = 95
21.68 deg, d = 4.098 Å, I = 51
31.31 deg, d = 2.856 Å, I = 21
36.14 deg, d = 2.485 Å, I = 100
37.69 deg, d = 2.387 Å, I = 13
37.93 deg, d = 2.372 Å, I = 14
37.96 deg, d = 2.371 Å, I = 14
43.90 deg, d = 2.063 Å, I = 11
48.21 deg, d = 1.887 Å, I = 27
53.25 deg, d = 1.720 Å, I = 20
53.51 deg, d = 1.712 Å, I = 12
59.28 deg, d = 1.559 Å, I = 13

Crystal structure
Cell: 16.3936 6.2356 8.2478 Å, 90.00 119.75 90.00°
Space group Cm (No. 8)
Unique sites:
Li (0.0000, 0.0000, 0.0000) (multiplicity 2)
Li (0.0006, 0.5000, 0.0020) (multiplicity 2)
Li (0.1591, 0.5000, 0.5869) (multiplicity 2)
Li (0.2919, 0.5000, 0.2709) (multiplicity 2)
Li (0.2929, 0.0000, 0.2668) (multiplicity 2)
Fe (0.1460, 0.2433, 0.9093) (multiplicity 4)
Fe (0.3304, 0.2444, 0.6461) (multiplicity 4)
Fe (0.4750, 0.2564, 0.3003) (multiplicity 4)
B (0.1519, 0.2540, 0.2827) (multiplicity 4)
B (0.3172, 0.5000, 0.9536) (multiplicity 2)
B (0.3205, 0.0000, 0.9602) (multiplicity 2)
B (0.4793, 0.5000, 0.6169) (multiplicity 2)
B (0.4843, 0.0000, 0.6221) (multiplicity 2)
O (0.0156, 0.0000, 0.4980) (multiplicity 2)
O (0.0240, 0.5000, 0.5070) (multiplicity 2)
O (0.0404, 0.0000, 0.8108) (multiplicity 2)
O (0.0426, 0.5000, 0.8161) (multiplicity 2)
O (0.0536, 0.2505, 0.1754) (multiplicity 4)
O (0.1958, 0.2676, 0.4725) (multiplicity 4)
O (0.2040, 0.2498, 0.1899) (multiplicity 4)
O (0.2197, 0.5000, 0.8684) (multiplicity 2)
O (0.2242, 0.0000, 0.8857) (multiplicity 2)
O (0.3590, 0.5000, 0.8433) (multiplicity 2)
O (0.3603, 0.0000, 0.8455) (multiplicity 2)
O (0.3717, 0.5000, 0.1470) (multiplicity 2)
O (0.3784, 0.0000, 0.1533) (multiplicity 2)
O (0.3828, 0.5000, 0.5458) (multiplicity 2)
O (0.3870, 0.0000, 0.5462) (multiplicity 2)